Structure and theoretical XRD peak list of IrN2 (DFT lattice parameters and positions (GGA-PBE); Cu Kα, 1.54184 Å).
No peak broadening, texture or thermal motion is included.

```
data_IrN2
_chemical_formula_sum 'Ir2 N4'
_cell_length_a 3.0949
_cell_length_b 3.0949
_cell_length_c 7.4955
_cell_angle_alpha 90.00
_cell_angle_beta 90.00
_cell_angle_gamma 120.00
_symmetry_space_group_name_H-M 'P 63/m m c'
_symmetry_Int_Tables_number 194
_symmetry_space_group_name_Hall '-P 6c 2c'
loop_
_atom_site_label
_atom_site_fract_x
_atom_site_fract_y
_atom_site_fract_z
Ir1 0.3333 0.6667 0.2500
N1 0.0000 0.0000 0.0836
```

Largest 8 diffraction maxima, in order of rising 2θ, 2θ = 15–90°:
| 2θ/deg | intensity |
| --- | --- |
| 23.74 | 53 |
| 35.57 | 100 |
| 41.42 | 28 |
| 49.90 | 39 |
| 59.76 | 19 |
| 65.23 | 21 |
| 71.52 | 13 |
| 72.20 | 13 |